No. 1
# La2CdIn
Computed powder diffractogram, a wavelength of 1.5418 Å. Input: a DFT-relaxed cell (GGA-PBE, the Materials Project).
Intensities are scaled so that the largest is 100.

Peak list (7 most intense, 15 to 90 degrees two-theta, in order of rising 2θ)
| 2θ/deg | intensity |
| --- | --- |
| 22.45 | 1 |
| 31.96 | 100 |
| 45.82 | 18 |
| 56.95 | 38 |
| 66.81 | 11 |
| 75.98 | 16 |
| 84.80 | 4 |

Atomic structure:
```
La2CdIn
1.0
7.9212 0.0000 0.0000
0.0000 7.9212 0.0000
0.0000 0.0000 7.9212
La Cd In
8 4 4
direct
0.2500 0.2500 0.2500
0.2500 0.2500 0.7500
0.2500 0.7500 0.2500
0.2500 0.7500 0.7500
0.7500 0.2500 0.2500
0.7500 0.2500 0.7500
0.7500 0.7500 0.2500
0.7500 0.7500 0.7500
0.0000 0.0000 0.0000
0.0000 0.5000 0.5000
0.5000 0.0000 0.5000
0.5000 0.5000 0.0000
0.0000 0.0000 0.5000
0.0000 0.5000 0.0000
0.5000 0.0000 0.0000
0.5000 0.5000 0.5000
```

---

No. 2
# Lu2CdIn
Computed powder diffractogram, a wavelength of 1.5418 Å. Input: a DFT-relaxed cell (GGA-PBE, the Materials Project).
Intensities are scaled so that the largest is 100.

Peak list (10 most intense, 15 to 90 degrees two-theta, in order of rising 2θ)
| 2θ/deg | intensity |
| --- | --- |
| 24.16 | 5 |
| 34.43 | 100 |
| 42.51 | 2 |
| 49.49 | 18 |
| 55.80 | 2 |
| 61.68 | 37 |
| 72.59 | 11 |
| 77.78 | 1 |
| 82.87 | 16 |
| 87.91 | 1 |

Atomic structure:
```
Lu2CdIn
1.0
7.3674 0.0000 0.0000
0.0000 7.3674 0.0000
0.0000 0.0000 7.3674
Lu Cd In
8 4 4
direct
0.2500 0.2500 0.2500
0.2500 0.2500 0.7500
0.2500 0.7500 0.2500
0.2500 0.7500 0.7500
0.7500 0.2500 0.2500
0.7500 0.2500 0.7500
0.7500 0.7500 0.2500
0.7500 0.7500 0.7500
0.0000 0.0000 0.0000
0.0000 0.5000 0.5000
0.5000 0.0000 0.5000
0.5000 0.5000 0.0000
0.0000 0.0000 0.5000
0.0000 0.5000 0.0000
0.5000 0.0000 0.0000
0.5000 0.5000 0.5000
```

---

No. 3
# Mg6CdIn
Computed powder diffractogram, a wavelength of 1.5418 Å. Input: a DFT-relaxed cell (GGA-PBE, the Materials Project).
Intensities are scaled so that the largest is 100.

Peak list (10 most intense, 15 to 90 degrees two-theta, in order of rising 2θ)
| 2θ/deg | intensity |
| --- | --- |
| 16.17 | 28 |
| 23.58 | 70 |
| 28.21 | 30 |
| 32.68 | 24 |
| 34.49 | 27 |
| 37.09 | 100 |
| 47.24 | 22 |
| 58.33 | 17 |
| 63.51 | 19 |
| 69.56 | 19 |

Atomic structure:
```
Mg6CdIn
1.0
6.3279 0.0000 0.0000
-3.1639 5.4801 0.0000
0.0000 0.0000 5.2004
Mg Cd In
6 1 1
direct
0.9998 0.4999 0.0000
0.1660 0.3319 0.5000
0.1660 0.8340 0.5000
0.5001 0.0002 0.0000
0.5001 0.4999 0.0000
0.6681 0.8340 0.5000
0.0000 0.0000 0.0000
0.6667 0.3333 0.5000
```

---

No. 4
# Cd3In2N4
Computed powder diffractogram, a wavelength of 1.5418 Å. Input: a DFT-relaxed cell (GGA-PBE, the Materials Project).
Intensities are scaled so that the largest is 100.

Peak list (10 most intense, 15 to 90 degrees two-theta, in order of rising 2θ)
| 2θ/deg | intensity |
| --- | --- |
| 30.47 | 100 |
| 31.25 | 60 |
| 31.80 | 46 |
| 33.88 | 42 |
| 39.64 | 18 |
| 40.09 | 36 |
| 48.05 | 16 |
| 53.11 | 16 |
| 54.29 | 14 |
| 59.65 | 17 |

Atomic structure:
```
Cd3In2N4
1.0
4.8473 -5.2933 0.0000
4.8473 5.2933 0.0000
-0.7203 0.0000 5.8947
Cd In N
6 4 8
direct
0.1506 0.8494 0.7500
0.2350 0.5371 0.4089
0.4629 0.7650 0.0911
0.5371 0.2350 0.9089
0.7650 0.4629 0.5911
0.8494 0.1506 0.2500
0.1002 0.3251 0.8690
0.3251 0.1002 0.3690
0.6749 0.8998 0.6310
0.8998 0.6749 0.1310
0.1094 0.2670 0.4975
0.1822 0.6144 0.0154
0.2670 0.1094 0.9975
0.3856 0.8178 0.4846
0.6144 0.1822 0.5154
0.7330 0.8906 0.0025
0.8178 0.3856 0.9846
0.8906 0.7330 0.5025
```

---

No. 5
# NaCdIn2P3O12
Computed powder diffractogram, a wavelength of 1.5418 Å. Input: a DFT-relaxed cell (GGA-PBE, the Materials Project).
Intensities are scaled so that the largest is 100.

Peak list (10 most intense, 15 to 90 degrees two-theta, in order of rising 2θ)
| 2θ/deg | intensity |
| --- | --- |
| 15.41 | 43 |
| 20.49 | 81 |
| 21.06 | 31 |
| 24.20 | 28 |
| 27.95 | 46 |
| 29.53 | 38 |
| 31.09 | 72 |
| 31.43 | 100 |
| 34.10 | 62 |
| 41.27 | 40 |

Atomic structure:
```
NaCdIn2P3O12
1.0
6.3679 -6.5509 0.0000
6.3679 6.5509 0.0000
-2.8795 0.0000 6.0431
Na Cd In P O
2 2 4 6 24
direct
0.0000 0.0000 0.0000
0.0000 0.0000 0.5000
0.2395 0.7605 0.7500
0.7605 0.2395 0.2500
0.1290 0.4304 0.8688
0.4304 0.1290 0.3688
0.5696 0.8710 0.6312
0.8710 0.5696 0.1312
0.1475 0.3656 0.3661
0.2128 0.7872 0.2500
0.3656 0.1475 0.8661
0.6344 0.8525 0.1339
0.7872 0.2128 0.7500
0.8525 0.6344 0.6339
0.0264 0.2281 0.3194
0.0465 0.7672 0.2609
0.0914 0.4504 0.1874
0.1661 0.4899 0.5950
0.2281 0.0264 0.8194
0.2328 0.9535 0.2391
0.2357 0.6718 0.0400
0.3046 0.3150 0.3580
0.3150 0.3046 0.8580
0.3282 0.7643 0.4600
0.4504 0.0914 0.6874
0.4899 0.1661 0.0950
0.5101 0.8339 0.9050
0.5496 0.9086 0.3126
0.6718 0.2357 0.5400
0.6850 0.6954 0.1420
0.6954 0.6850 0.6420
0.7643 0.3282 0.9600
0.7672 0.0465 0.7609
0.7719 0.9736 0.1806
0.8339 0.5101 0.4050
0.9086 0.5496 0.8126
0.9535 0.2328 0.7391
0.9736 0.7719 0.6806
```